Entry 1:
This entry pairs a crystal structure of Ac3Zn6GaRu2 with its simulated X-ray diffraction stick pattern. Radiation: Cu Ka. Structure: a PBE-relaxed structure.
Peak positions follow from Bragg's law for the DFT cell and can differ from measured ones.

Main lines, in order of rising 2θ (2θ from 10° to 80°):
27.80 deg, intensity 72; 28.06 deg, intensity 100; 30.30 deg, intensity 43; 34.49 deg, intensity 47; 37.89 deg, intensity 55; 39.91 deg, intensity 46; 49.49 deg, intensity 25; 49.65 deg, intensity 17; 56.34 deg, intensity 40; 58.00 deg, intensity 27

Crystal structure
Cell: 6.361 6.361 7.896 Å, 90.00 90.00 120.00°
Atoms (fractional coordinates):
Ac: 0.000 0.000 0.000
Ac: 0.333 0.667 0.772
Ac: 0.667 0.333 0.228
Zn: 0.197 0.393 0.361
Zn: 0.197 0.803 0.361
Zn: 0.393 0.197 0.639
Zn: 0.607 0.803 0.361
Zn: 0.803 0.197 0.639
Zn: 0.803 0.607 0.639
Ga: 0.000 0.000 0.500
Ru: 0.333 0.667 0.109
Ru: 0.667 0.333 0.891


Entry 2:
This entry pairs a crystal structure of Ac3Ga2S8 with its simulated X-ray diffraction stick pattern. Radiation: Cu Ka. Structure: a PBE-relaxed structure.
Peak positions follow from Bragg's law for the DFT cell and can differ from measured ones.

Main lines, in order of rising 2θ (2θ from 10° to 80°):
15.77 deg, intensity 20; 23.43 deg, intensity 93; 26.79 deg, intensity 100; 31.89 deg, intensity 26; 35.89 deg, intensity 52; 38.97 deg, intensity 37; 45.35 deg, intensity 41; 47.32 deg, intensity 21; 55.21 deg, intensity 22; 55.75 deg, intensity 22

Crystal structure
Cell: 9.247 9.247 9.247 Å, 42.18 42.18 42.18°
Atoms (fractional coordinates):
Ac: 0.000 0.000 0.000
Ac: 0.208 0.208 0.208
Ac: 0.792 0.792 0.792
Ga: 0.407 0.407 0.407
Ga: 0.593 0.593 0.593
S: 0.198 0.744 0.744
S: 0.256 0.256 0.802
S: 0.256 0.802 0.256
S: 0.319 0.319 0.319
S: 0.681 0.681 0.681
S: 0.744 0.198 0.744
S: 0.744 0.744 0.198
S: 0.802 0.256 0.256


Entry 3:
This entry pairs a crystal structure of AcGaSb2 with its simulated X-ray diffraction stick pattern. Radiation: Cu Ka. Structure: a PBE-relaxed structure.
Peak positions follow from Bragg's law for the DFT cell and can differ from measured ones.

Main lines, in order of rising 2θ (2θ from 10° to 80°):
20.29 deg, intensity 21; 25.52 deg, intensity 16; 31.54 deg, intensity 100; 32.51 deg, intensity 30; 36.94 deg, intensity 46; 49.16 deg, intensity 16; 50.02 deg, intensity 18; 53.24 deg, intensity 16; 63.06 deg, intensity 15; 63.21 deg, intensity 27

Crystal structure
Cell: 4.866 4.866 10.021 Å, 90.00 90.00 90.00°
Atoms (fractional coordinates):
Ac: 0.250 0.250 0.242
Ac: 0.750 0.750 0.758
Ga: 0.250 0.750 0.500
Ga: 0.750 0.250 0.500
Sb: 0.250 0.250 0.650
Sb: 0.250 0.750 0.000
Sb: 0.750 0.250 0.000
Sb: 0.750 0.750 0.350


Entry 4:
This entry pairs a crystal structure of AcGaSb3 with its simulated X-ray diffraction stick pattern. Radiation: Cu Ka. Structure: a PBE-relaxed structure.
Peak positions follow from Bragg's law for the DFT cell and can differ from measured ones.

Main lines, in order of rising 2θ (2θ from 10° to 80°):
20.60 deg, intensity 30; 23.15 deg, intensity 37; 29.84 deg, intensity 60; 30.49 deg, intensity 45; 31.27 deg, intensity 87; 31.45 deg, intensity 100; 32.88 deg, intensity 47; 34.20 deg, intensity 44; 39.96 deg, intensity 55; 56.10 deg, intensity 35

Crystal structure
Cell: 14.657 6.214 6.562 Å, 90.00 90.00 90.00°
Atoms (fractional coordinates):
Ac: 0.181 0.005 0.250
Ac: 0.181 0.495 0.750
Ac: 0.819 0.505 0.250
Ac: 0.819 0.995 0.750
Ga: 0.396 0.250 0.000
Ga: 0.396 0.250 0.500
Ga: 0.604 0.750 0.000
Ga: 0.604 0.750 0.500
Sb: 0.001 0.750 0.000
Sb: 0.001 0.750 0.500
Sb: 0.264 0.511 0.250
Sb: 0.264 0.989 0.750
Sb: 0.420 0.664 0.750
Sb: 0.420 0.836 0.250
Sb: 0.580 0.164 0.750
Sb: 0.580 0.336 0.250
Sb: 0.736 0.011 0.250
Sb: 0.736 0.489 0.750
Sb: 0.999 0.250 0.000
Sb: 0.999 0.250 0.500


Entry 5:
This entry pairs a crystal structure of Ac3GaSi with its simulated X-ray diffraction stick pattern. Radiation: Cu Ka. Structure: a PBE-relaxed structure.
Peak positions follow from Bragg's law for the DFT cell and can differ from measured ones.

Main lines, in order of rising 2θ (2θ from 10° to 80°):
22.91 deg, intensity 42; 23.45 deg, intensity 44; 27.55 deg, intensity 100; 28.09 deg, intensity 60; 28.77 deg, intensity 98; 29.44 deg, intensity 38; 29.63 deg, intensity 68; 33.77 deg, intensity 44; 36.76 deg, intensity 44; 41.68 deg, intensity 42

Crystal structure
Cell: 4.334 8.676 9.112 Å, 87.39 89.99 75.59°
Atoms (fractional coordinates):
Ac: 0.046 0.407 0.174
Ac: 0.240 0.021 0.826
Ac: 0.402 0.695 0.419
Ac: 0.598 0.305 0.581
Ac: 0.760 0.979 0.174
Ac: 0.954 0.593 0.826
Ga: 0.212 0.075 0.433
Ga: 0.788 0.925 0.567
Si: 0.392 0.715 0.067
Si: 0.608 0.285 0.933


Entry 6:
This entry pairs a crystal structure of Ac12GaSi6 with its simulated X-ray diffraction stick pattern. Radiation: Cu Ka. Structure: a PBE-relaxed structure.
Peak positions follow from Bragg's law for the DFT cell and can differ from measured ones.

Main lines, in order of rising 2θ (2θ from 10° to 80°):
23.00 deg, intensity 25; 25.76 deg, intensity 82; 28.27 deg, intensity 60; 30.58 deg, intensity 100; 32.75 deg, intensity 20; 48.53 deg, intensity 61; 51.51 deg, intensity 52; 59.79 deg, intensity 24; 73.47 deg, intensity 18; 74.65 deg, intensity 22

Crystal structure
Cell: 9.472 9.472 9.472 Å, 109.47 109.47 109.47°
Atoms (fractional coordinates):
Ac: 0.110 0.812 0.298
Ac: 0.188 0.298 0.486
Ac: 0.188 0.702 0.890
Ac: 0.298 0.110 0.812
Ac: 0.298 0.486 0.188
Ac: 0.486 0.188 0.298
Ac: 0.514 0.812 0.702
Ac: 0.702 0.514 0.812
Ac: 0.702 0.890 0.188
Ac: 0.812 0.298 0.110
Ac: 0.812 0.702 0.514
Ac: 0.890 0.188 0.702
Ga: 0.000 0.000 0.000
Si: 0.109 0.609 0.500
Si: 0.391 0.500 0.891
Si: 0.500 0.109 0.609
Si: 0.500 0.891 0.391
Si: 0.609 0.500 0.109
Si: 0.891 0.391 0.500


Entry 7:
This entry pairs a crystal structure of Ac5GaSi6 with its simulated X-ray diffraction stick pattern. Radiation: Cu Ka. Structure: a PBE-relaxed structure.
Peak positions follow from Bragg's law for the DFT cell and can differ from measured ones.

Main lines, in order of rising 2θ (2θ from 10° to 80°):
19.16 deg, intensity 38; 22.81 deg, intensity 100; 25.75 deg, intensity 70; 29.13 deg, intensity 79; 30.17 deg, intensity 89; 31.88 deg, intensity 54; 32.18 deg, intensity 56; 39.52 deg, intensity 45; 40.36 deg, intensity 48; 48.27 deg, intensity 32

Crystal structure
Cell: 9.018 9.018 6.109 Å, 99.48 99.48 130.64°
Atoms (fractional coordinates):
Ac: 0.000 0.000 0.000
Ac: 0.187 0.813 0.500
Ac: 0.389 0.611 0.000
Ac: 0.611 0.389 0.000
Ac: 0.813 0.187 0.500
Ga: 0.500 0.500 0.500
Si: 0.032 0.623 0.900
Si: 0.177 0.177 0.594
Si: 0.377 0.968 0.100
Si: 0.623 0.032 0.900
Si: 0.823 0.823 0.406
Si: 0.968 0.377 0.100


Entry 8:
This entry pairs a crystal structure of AcSmGa4 with its simulated X-ray diffraction stick pattern. Radiation: Cu Ka. Structure: a PBE-relaxed structure.
Peak positions follow from Bragg's law for the DFT cell and can differ from measured ones.

Main lines, in order of rising 2θ (2θ from 10° to 80°):
26.96 deg, intensity 40; 31.19 deg, intensity 100; 36.08 deg, intensity 51; 41.20 deg, intensity 39; 46.89 deg, intensity 24; 49.93 deg, intensity 15; 55.90 deg, intensity 29; 59.68 deg, intensity 13; 64.16 deg, intensity 18; 68.88 deg, intensity 21

Crystal structure
Cell: 8.172 8.172 8.172 Å, 148.89 148.89 44.57°
Atoms (fractional coordinates):
Ac: 0.000 0.000 0.000
Sm: 0.250 0.750 0.500
Ga: 0.413 0.413 0.000
Ga: 0.587 0.587 0.000
Ga: 0.669 0.169 0.500
Ga: 0.831 0.331 0.500


Entry 9:
This entry pairs a crystal structure of AcGaSn3 with its simulated X-ray diffraction stick pattern. Radiation: Cu Ka. Structure: a PBE-relaxed structure.
Peak positions follow from Bragg's law for the DFT cell and can differ from measured ones.

Main lines, in order of rising 2θ (2θ from 10° to 80°):
28.11 deg, intensity 23; 28.99 deg, intensity 100; 31.83 deg, intensity 21; 34.55 deg, intensity 25; 35.70 deg, intensity 15; 36.73 deg, intensity 30; 40.40 deg, intensity 19; 41.10 deg, intensity 22; 56.29 deg, intensity 18; 59.03 deg, intensity 15

Crystal structure
Cell: 13.998 13.998 4.393 Å, 90.00 90.00 159.86°
Atoms (fractional coordinates):
Ac: 0.169 0.831 0.000
Ac: 0.831 0.169 0.000
Ga: 0.377 0.623 0.500
Ga: 0.623 0.377 0.500
Sn: 0.059 0.941 0.500
Sn: 0.278 0.722 0.500
Sn: 0.443 0.557 0.000
Sn: 0.557 0.443 0.000
Sn: 0.722 0.278 0.500
Sn: 0.941 0.059 0.500


Entry 10:
This entry pairs a crystal structure of Ac12Ga2Sn5 with its simulated X-ray diffraction stick pattern. Radiation: Cu Ka. Structure: a PBE-relaxed structure.
Peak positions follow from Bragg's law for the DFT cell and can differ from measured ones.

Main lines, in order of rising 2θ (2θ from 10° to 80°):
21.92 deg, intensity 50; 22.28 deg, intensity 56; 24.12 deg, intensity 49; 28.29 deg, intensity 57; 28.39 deg, intensity 68; 28.70 deg, intensity 100; 29.34 deg, intensity 80; 31.34 deg, intensity 37; 31.61 deg, intensity 31; 34.01 deg, intensity 49

Crystal structure
Cell: 10.459 10.459 10.545 Å, 103.72 103.72 45.17°
Atoms (fractional coordinates):
Ac: 0.004 0.004 0.281
Ac: 0.076 0.592 0.909
Ac: 0.107 0.591 0.427
Ac: 0.408 0.924 0.091
Ac: 0.409 0.893 0.573
Ac: 0.490 0.490 0.177
Ac: 0.510 0.510 0.823
Ac: 0.591 0.107 0.427
Ac: 0.592 0.076 0.909
Ac: 0.893 0.409 0.573
Ac: 0.924 0.408 0.091
Ac: 0.996 0.996 0.719
Ga: 0.162 0.838 0.000
Ga: 0.838 0.162 0.000
Sn: 0.183 0.183 0.833
Sn: 0.198 0.198 0.362
Sn: 0.500 0.500 0.500
Sn: 0.802 0.802 0.638
Sn: 0.817 0.817 0.167


Entry 11:
This entry pairs a crystal structure of Ac2GaSn2 with its simulated X-ray diffraction stick pattern. Radiation: Cu Ka. Structure: a PBE-relaxed structure.
Peak positions follow from Bragg's law for the DFT cell and can differ from measured ones.

Main lines, in order of rising 2θ (2θ from 10° to 80°):
19.40 deg, intensity 21; 25.25 deg, intensity 57; 26.37 deg, intensity 64; 30.35 deg, intensity 100; 30.56 deg, intensity 30; 33.45 deg, intensity 78; 38.16 deg, intensity 41; 40.06 deg, intensity 27; 46.31 deg, intensity 23; 56.52 deg, intensity 24

Crystal structure
Cell: 9.716 9.716 7.609 Å, 90.00 90.00 151.90°
Atoms (fractional coordinates):
Ac: 0.020 0.980 0.500
Ac: 0.211 0.789 0.811
Ac: 0.789 0.211 0.311
Ac: 0.980 0.020 0.000
Ga: 0.406 0.594 0.656
Ga: 0.594 0.406 0.156
Sn: 0.166 0.834 0.253
Sn: 0.416 0.584 0.284
Sn: 0.584 0.416 0.784
Sn: 0.834 0.166 0.753


Entry 12:
This entry pairs a crystal structure of Ac6Ga2Sn3 with its simulated X-ray diffraction stick pattern. Radiation: Cu Ka. Structure: a PBE-relaxed structure.
Peak positions follow from Bragg's law for the DFT cell and can differ from measured ones.

Main lines, in order of rising 2θ (2θ from 10° to 80°):
21.93 deg, intensity 51; 25.90 deg, intensity 20; 29.07 deg, intensity 100; 31.38 deg, intensity 31; 31.49 deg, intensity 81; 41.58 deg, intensity 39; 43.30 deg, intensity 26; 53.06 deg, intensity 46; 68.27 deg, intensity 18; 69.56 deg, intensity 15

Crystal structure
Cell: 12.074 12.074 12.074 Å, 150.52 150.52 42.18°
Atoms (fractional coordinates):
Ac: 0.082 0.582 0.500
Ac: 0.199 0.199 0.000
Ac: 0.418 0.918 0.500
Ac: 0.582 0.082 0.500
Ac: 0.801 0.801 0.000
Ac: 0.918 0.418 0.500
Ga: 0.056 0.056 0.000
Ga: 0.944 0.944 0.000
Sn: 0.345 0.345 0.000
Sn: 0.500 0.500 0.000
Sn: 0.655 0.655 0.000